For KSc2IrO8, a structure optimized by DFT (GGA-PBE) gives the simulated X-ray diffraction stick pattern in this record (Cu Kα).
Neutral-atom scattering factors, no anomalous dispersion.

Top 8 peaks for 2θ from 10° to 90°, sorted by position:
| index | 2theta | I_rel |
| --- | --- | --- |
| 0 1 0 | 12.3 | 100 |
| 0 1 1 | 22.2 | 33 |
| 1 1 0 | 22.4 | 32 |
| 1 0 -1 | 26.2 | 54 |
| 1 0 1 | 26.5 | 62 |
| 1 2 0 | 31.1 | 82 |
| 1 2 -1 | 36.3 | 25 |
| 1 3 0 | 42.1 | 21 |

Cell: 4.770 7.207 4.804 Å, 90.00 90.56 90.00°
Space group P2/m (No. 10)
One atom of each set of equivalent atoms:
K 0.000 0.000 0.000
Sc 0.500 0.284 0.500
Ir 0.000 0.500 0.000
O 0.199 0.314 0.807
O 0.291 0.500 0.296
O 0.384 0.000 0.394

***

For Ca3Cd5Br16, a structure optimized by DFT (GGA-PBE) gives the simulated X-ray diffraction stick pattern in this record (Cu Kα).
Neutral-atom scattering factors, no anomalous dispersion.

Top 8 peaks for 2θ from 10° to 90°, sorted by position:
| index | 2theta | I_rel |
| --- | --- | --- |
| 2 0 -1 | 14.0 | 69 |
| 2 2 -2 | 28.2 | 90 |
| 2 2 2 | 28.3 | 50 |
| 4 0 2 | 28.5 | 30 |
| 2 2 -3 | 32.2 | 55 |
| 2 2 3 | 32.4 | 35 |
| 4 0 -5 | 42.8 | 31 |
| 0 4 0 | 43.4 | 100 |

Cell: 14.417 8.347 12.980 Å, 90.00 90.59 90.00°
Space group Cm (No. 8)
One atom of each set of equivalent atoms:
Ca 0.000 0.000 0.000
Ca 0.084 0.253 0.501
Cd 0.001 0.500 0.768
Cd 0.255 0.255 0.002
Cd 0.333 0.500 0.263
Cd 0.339 0.000 0.503
Br 0.001 0.000 0.377
Br 0.089 0.252 0.880
Br 0.158 0.500 0.635
Br 0.175 0.000 0.617
Br 0.176 0.000 0.114
Br 0.179 0.500 0.129
Br 0.255 0.248 0.381
Br 0.329 0.500 0.879
Br 0.335 0.000 0.884
Br 0.411 0.264 0.132
Br 0.421 0.232 0.634
Br 0.496 0.000 0.377

***

For Nd2Pa2O7, a structure optimized by DFT (GGA-PBE) gives the simulated X-ray diffraction stick pattern in this record (Cu Kα).
Neutral-atom scattering factors, no anomalous dispersion.

Top 8 peaks for 2θ from 10° to 90°, sorted by position:
| index | 2theta | I_rel |
| --- | --- | --- |
| 0 2 1 | 27.3 | 99 |
| 2 0 1 | 28.3 | 100 |
| 0 0 2 | 31.9 | 28 |
| 2 2 0 | 32.4 | 46 |
| 0 4 0 | 45.0 | 17 |
| 2 2 2 | 46.1 | 61 |
| 2 4 1 | 54.1 | 45 |
| 4 2 1 | 55.9 | 27 |

Cell: 7.614 8.056 5.603 Å, 90.00 90.00 90.00°
Space group Cmmm (No. 65)
One atom of each set of equivalent atoms:
Nd 0.240 0.000 0.000
Pa 0.000 0.233 0.500
O 0.000 0.000 0.263
O 0.000 0.500 0.500
O 0.250 0.250 0.263

***

For Li3CuF4, a structure optimized by DFT (GGA-PBE) gives the simulated X-ray diffraction stick pattern in this record (Cu Kα).
Neutral-atom scattering factors, no anomalous dispersion.

Top 8 peaks for 2θ from 10° to 90°, sorted by position:
| index | 2theta | I_rel |
| --- | --- | --- |
| 1 0 0 | 19.7 | 71 |
| 1 1 0 | 28.0 | 83 |
| 1 1 1 | 34.5 | 100 |
| 2 1 0 | 45.0 | 53 |
| 2 1 1 | 49.6 | 33 |
| 2 2 0 | 57.9 | 54 |
| 3 0 0 | 61.8 | 19 |
| 3 1 1 | 69.2 | 29 |

Cell: 4.505 4.505 4.505 Å, 90.00 90.00 90.00°
Space group P-43m (No. 215)
One atom of each set of equivalent atoms:
Li 0.000 0.000 0.500
Cu 0.500 0.500 0.500
F 0.234 0.234 0.766

***

For BPtRh2, a structure optimized by DFT (GGA-PBE) gives the simulated X-ray diffraction stick pattern in this record (Cu Kα).
Neutral-atom scattering factors, no anomalous dispersion.

Top 8 peaks for 2θ from 10° to 90°, sorted by position:
| index | 2theta | I_rel |
| --- | --- | --- |
| 0 0 3 | 11.8 | 49 |
| 0 0 9 | 35.9 | 62 |
| 1 0 1 | 37.1 | 36 |
| 0 1 2 | 37.8 | 32 |
| 1 0 4 | 40.3 | 95 |
| 0 1 5 | 42.2 | 100 |
| 1 1 0 | 66.5 | 35 |
| 1 1 9 | 77.9 | 39 |

Cell: 2.8133 2.8133 22.5121 Å, 90.00 90.00 120.00°
Space group R3m (No. 160, hexagonal axes)
One atom of each set of equivalent atoms:
B 0.0000 0.0000 0.0000
Pt 0.0000 0.0000 0.8338
Rh 0.0000 0.0000 0.3948
Rh 0.0000 0.0000 0.6057

***

For La8N4O3, a structure optimized by DFT (GGA-PBE) gives the simulated X-ray diffraction stick pattern in this record (Cu Kα).
Neutral-atom scattering factors, no anomalous dispersion.

Top 8 peaks for 2θ from 10° to 90°, sorted by position:
| index | 2theta | I_rel |
| --- | --- | --- |
| 2 2 -2 | 29.5 | 100 |
| 0 0 2 | 34.0 | 25 |
| 0 4 0 | 34.2 | 25 |
| 4 0 -2 | 34.4 | 25 |
| 0 4 2 | 49.0 | 26 |
| 4 0 -4 | 49.3 | 26 |
| 2 6 0 | 58.3 | 15 |
| 4 4 -4 | 61.3 | 9 |

Cell: 10.434 10.499 7.397 Å, 90.00 134.59 90.00°
Space group C2/m (No. 12)
One atom of each set of equivalent atoms:
La 0.000 0.242 0.000
La 0.000 0.248 0.500
La 0.237 0.000 0.480
La 0.243 0.000 0.997
N 0.000 0.000 0.000
N 0.000 0.000 0.500
N 0.250 0.250 0.000
O 0.000 0.500 0.500
O 0.250 0.250 0.500

***

For Sc6As2PSe3, a structure optimized by DFT (GGA-PBE) gives the simulated X-ray diffraction stick pattern in this record (Cu Kα).
Neutral-atom scattering factors, no anomalous dispersion.

Top 8 peaks for 2θ from 10° to 90°, sorted by position:
| index | 2theta | I_rel |
| --- | --- | --- |
| 2 0 2 | 28.4 | 7 |
| 1 1 -2 | 32.8 | 100 |
| 7 1 -2 | 46.9 | 23 |
| 2 0 -4 | 46.9 | 11 |
| 0 2 0 | 47.3 | 34 |
| 6 2 0 | 58.7 | 17 |
| 8 2 -4 | 78.1 | 9 |
| 1 3 -2 | 78.6 | 10 |

Cell: 16.893 3.844 7.746 Å, 90.00 103.87 90.00°
Space group C2/m (No. 12)
One atom of each set of equivalent atoms:
Sc 0.002 0.000 0.231
Sc 0.158 0.500 0.086
Sc 0.168 0.500 0.575
As 0.167 0.000 0.333
P 0.000 0.500 0.000
Se 0.000 0.500 0.500
Se 0.168 0.000 0.833

***

For LaEr6Te8, a structure optimized by DFT (GGA-PBE) gives the simulated X-ray diffraction stick pattern in this record (Cu Kα).
Neutral-atom scattering factors, no anomalous dispersion.

Top 8 peaks for 2θ from 10° to 90°, sorted by position:
| index | 2theta | I_rel |
| --- | --- | --- |
| 2 0 0 | 14.5 | 4 |
| 4 0 0 | 29.2 | 100 |
| 3 3 1 | 31.9 | 5 |
| 4 4 0 | 41.8 | 75 |
| 4 4 4 | 51.8 | 26 |
| 8 0 0 | 60.6 | 12 |
| 8 4 0 | 68.7 | 32 |
| 8 4 4 | 76.3 | 24 |

Cell: 12.221 12.221 12.221 Å, 90.00 90.00 90.00°
Space group Fm-3m (No. 225)
One atom of each set of equivalent atoms:
La 0.000 0.000 0.000
Er 0.000 0.250 0.250
Te 0.000 0.000 0.265
Te 0.250 0.250 0.250

***

For TbNd15Sc4, a structure optimized by DFT (GGA-PBE) gives the simulated X-ray diffraction stick pattern in this record (Cu Kα).
Neutral-atom scattering factors, no anomalous dispersion.

Top 8 peaks for 2θ from 10° to 90°, sorted by position:
| index | 2theta | I_rel |
| --- | --- | --- |
| 1 1 5 | 30.5 | 100 |
| 2 0 0 | 35.3 | 34 |
| 0 0 10 | 35.5 | 17 |
| 2 2 0 | 50.9 | 35 |
| 3 1 5 | 60.5 | 28 |
| 1 1 15 | 60.6 | 14 |
| 2 2 10 | 63.5 | 12 |
| 3 1 15 | 83.0 | 11 |

Cell: 5.079 5.079 25.322 Å, 90.00 90.00 90.00°
Space group P4/mmm (No. 123)
One atom of each set of equivalent atoms:
Tb 0.000 0.000 0.000
Nd 0.000 0.500 0.103
Nd 0.000 0.500 0.302
Nd 0.000 0.500 0.500
Nd 0.500 0.500 0.000
Nd 0.500 0.500 0.202
Nd 0.500 0.500 0.401
Sc 0.000 0.000 0.202
Sc 0.000 0.000 0.401

***

For Dy3Ga2Ni2, a structure optimized by DFT (GGA-PBE) gives the simulated X-ray diffraction stick pattern in this record (Cu Kα).
Neutral-atom scattering factors, no anomalous dispersion.

Top 8 peaks for 2θ from 10° to 90°, sorted by position:
| index | 2theta | I_rel |
| --- | --- | --- |
| 1 1 3 | 28.7 | 45 |
| 0 2 3 | 30.7 | 54 |
| 1 1 4 | 34.1 | 75 |
| 2 1 0 | 34.6 | 79 |
| 1 2 3 | 34.9 | 58 |
| 0 2 4 | 35.9 | 54 |
| 1 3 0 | 37.9 | 100 |
| 2 1 3 | 40.6 | 95 |

Cell: 5.483 7.904 12.935 Å, 90.00 90.00 90.00°
Space group Pbcm (No. 57)
One atom of each set of equivalent atoms:
Dy 0.142 0.244 0.250
Dy 0.349 0.602 0.100
Ga 0.149 0.250 0.000
Ga 0.352 0.607 0.750
Ni 0.126 0.534 0.590